Simulated PXRD pattern
Compound: Er3Ga5Cu6
Radiation: Cu Kα (weighted mean of Kα1 and Kα2)
Structure: DFT lattice parameters and positions (GGA-PBE)
Peak positions follow from Bragg's law for the DFT cell and can differ from measured ones.

Atomic structure:
```
data_Er3Ga5Cu6
_symmetry_space_group_name_H-M 'P m m n'
_symmetry_Int_Tables_number 59
_cell_length_a 4.1563
_cell_length_b 12.3160
_cell_length_c 9.1129
_cell_angle_alpha 90.00
_cell_angle_beta 90.00
_cell_angle_gamma 90.00
loop_
_symmetry_equiv_pos_as_xyz
'x,y,z'
'-x,-y,-z'
'-x+1/2,-y+1/2,z'
'x+1/2,y+1/2,-z'
'x+1/2,-y,-z'
'-x+1/2,y,z'
'-x,y+1/2,-z'
'x,-y+1/2,z'
loop_
_atom_site_label
_atom_site_type_symbol
_atom_site_fract_x
_atom_site_fract_y
_atom_site_fract_z
Er1 Er 0.2500 0.0553 0.2455
Er2 Er 0.2500 0.7500 0.2614
Ga1 Ga 0.2500 0.0795 0.6011
Ga2 Ga 0.2500 0.6134 0.9830
Ga3 Ga 0.2500 0.7500 0.7527
Cu1 Cu 0.2500 0.0872 0.8751
Cu2 Cu 0.2500 0.2500 0.0440
Cu3 Cu 0.2500 0.2500 0.4466
Cu4 Cu 0.2500 0.6246 0.5341
```

Top 10 peaks for 15° ≤ 2θ ≤ 90°, low angle first:
2θ 30.6, 2.921 Å, intensity 18, hkl 1 3 0
2θ 35.2, 2.551 Å, intensity 14, hkl 0 4 2
2θ 36.6, 2.457 Å, intensity 100, hkl 1 3 2
2θ 36.8, 2.442 Å, intensity 22, hkl 0 3 3
2θ 37.7, 2.388 Å, intensity 11, hkl 1 4 1
2θ 39.6, 2.278 Å, intensity 22, hkl 0 0 4
2θ 43.5, 2.078 Å, intensity 29, hkl 2 0 0
2θ 44.1, 2.053 Å, intensity 13, hkl 0 6 0
2θ 58.3, 1.583 Å, intensity 11, hkl 2 3 3
2θ 75.4, 1.261 Å, intensity 12, hkl 3 3 2

Simulated PXRD pattern
Compound: Er3GaCu
Radiation: Cu Kα (weighted mean of Kα1 and Kα2)
Structure: DFT lattice parameters and positions (GGA-PBE)
Peak positions follow from Bragg's law for the DFT cell and can differ from measured ones.

Atomic structure:
```
data_Er3GaCu
_symmetry_space_group_name_H-M 'P 1 21/c 1'
_symmetry_Int_Tables_number 14
_symmetry_space_group_name_Hall '-P 2ybc'
_cell_length_a 8.2574
_cell_length_b 6.7815
_cell_length_c 8.9322
_cell_angle_alpha 90.00
_cell_angle_beta 90.47
_cell_angle_gamma 90.00
loop_
_atom_site_label
_atom_site_type_symbol
_atom_site_fract_x
_atom_site_fract_y
_atom_site_fract_z
Er1 Er 0.0540 0.2303 0.3744
Er2 Er 0.3247 0.5125 0.6127
Er3 Er 0.3271 0.0010 0.6392
Ga1 Ga 0.1792 0.7210 0.8753
Cu1 Cu 0.3939 0.2306 0.3762
```

Top 10 peaks for 15° ≤ 2θ ≤ 90°, low angle first:
2θ 23.9, 3.730 Å, intensity 39, hkl 0 1 2
2θ 28.5, 3.137 Å, intensity 66, hkl 1 2 0
2θ 29.3, 3.044 Å, intensity 50, hkl 2 0 -2
2θ 29.6, 3.019 Å, intensity 50, hkl 2 0 2
2θ 32.5, 2.754 Å, intensity 61, hkl 3 0 0
2θ 34.2, 2.620 Å, intensity 43, hkl 2 2 0
2θ 34.9, 2.571 Å, intensity 100, hkl 1 2 -2
2θ 35.0, 2.563 Å, intensity 96, hkl 1 2 2
2θ 40.4, 2.233 Å, intensity 64, hkl 0 0 4
2θ 54.1, 1.695 Å, intensity 37, hkl 0 4 0

Simulated PXRD pattern
Compound: ErGa8Cu4
Radiation: Cu Kα (weighted mean of Kα1 and Kα2)
Structure: DFT lattice parameters and positions (GGA-PBE)
Peak positions follow from Bragg's law for the DFT cell and can differ from measured ones.

Atomic structure:
```
data_ErGa8Cu4
_symmetry_space_group_name_H-M 'I 4/m m m'
_symmetry_Int_Tables_number 139
_symmetry_space_group_name_Hall '-I 4 2'
_cell_length_a 8.8481
_cell_length_b 8.8481
_cell_length_c 5.2494
_cell_angle_alpha 90.00
_cell_angle_beta 90.00
_cell_angle_gamma 90.00
loop_
_atom_site_label
_atom_site_type_symbol
_atom_site_fract_x
_atom_site_fract_y
_atom_site_fract_z
Er1 Er 0.0000 0.0000 0.0000
Ga1 Ga 0.0000 0.2145 0.5000
Ga2 Ga 0.0000 0.3459 0.0000
Cu1 Cu 0.2500 0.2500 0.2500
```

Top 10 peaks for 15° ≤ 2θ ≤ 90°, low angle first:
2θ 28.2, 3.160 Å, intensity 19, hkl 2 1 1
2θ 34.2, 2.625 Å, intensity 20, hkl 0 0 2
2θ 34.9, 2.571 Å, intensity 53, hkl 3 0 1
2θ 39.9, 2.257 Å, intensity 69, hkl 2 0 2
2θ 40.6, 2.223 Å, intensity 100, hkl 3 2 1
2θ 40.8, 2.212 Å, intensity 55, hkl 4 0 0
2θ 45.1, 2.011 Å, intensity 37, hkl 2 2 2
2θ 65.5, 1.425 Å, intensity 24, hkl 3 2 3
2θ 73.7, 1.286 Å, intensity 24, hkl 6 0 2
2θ 74.1, 1.279 Å, intensity 23, hkl 6 3 1

Simulated PXRD pattern
Compound: ErGa12Cu7
Radiation: Cu Kα (weighted mean of Kα1 and Kα2)
Structure: DFT lattice parameters and positions (GGA-PBE)
Peak positions follow from Bragg's law for the DFT cell and can differ from measured ones.

Atomic structure:
```
data_ErGa12Cu7
_symmetry_space_group_name_H-M 'I m -3'
_symmetry_Int_Tables_number 204
_symmetry_space_group_name_Hall '-I 2 2 3'
_cell_length_a 9.0445
_cell_length_b 9.0445
_cell_length_c 9.0445
_cell_angle_alpha 90.00
_cell_angle_beta 90.00
_cell_angle_gamma 90.00
loop_
_atom_site_label
_atom_site_type_symbol
_atom_site_fract_x
_atom_site_fract_y
_atom_site_fract_z
Er1 Er 0.0000 0.0000 0.0000
Ga1 Ga 0.0000 0.3379 0.2227
Cu1 Cu 0.0000 0.0000 0.5000
Cu2 Cu 0.2500 0.2500 0.2500
```

Top 10 peaks for 15° ≤ 2θ ≤ 90°, low angle first:
2θ 24.1, 3.692 Å, intensity 37, hkl 2 1 1
2θ 27.9, 3.198 Å, intensity 48, hkl 2 2 0
2θ 31.3, 2.860 Å, intensity 76, hkl 3 0 1
2θ 34.3, 2.611 Å, intensity 30, hkl 2 2 2
2θ 37.2, 2.417 Å, intensity 47, hkl 3 1 2
2θ 39.9, 2.261 Å, intensity 67, hkl 4 0 0
2θ 44.8, 2.022 Å, intensity 32, hkl 4 0 2
2θ 49.4, 1.846 Å, intensity 100, hkl 4 2 2
2θ 59.6, 1.551 Å, intensity 24, hkl 5 3 0
2θ 79.3, 1.209 Å, intensity 45, hkl 6 4 2

Simulated PXRD pattern
Compound: ErMg2Ga2Cu
Radiation: Cu Kα (weighted mean of Kα1 and Kα2)
Structure: DFT lattice parameters and positions (GGA-PBE)
Peak positions follow from Bragg's law for the DFT cell and can differ from measured ones.

Atomic structure:
```
data_ErMg2Ga2Cu
_symmetry_space_group_name_H-M 'I 4/m m m'
_symmetry_Int_Tables_number 139
_symmetry_space_group_name_Hall '-I 4 2'
_cell_length_a 5.2090
_cell_length_b 5.2090
_cell_length_c 10.4700
_cell_angle_alpha 90.00
_cell_angle_beta 90.00
_cell_angle_gamma 90.00
loop_
_atom_site_label
_atom_site_type_symbol
_atom_site_fract_x
_atom_site_fract_y
_atom_site_fract_z
Er1 Er 0.0000 0.0000 0.0000
Mg1 Mg 0.0000 0.5000 0.2500
Ga1 Ga 0.0000 0.0000 0.2804
Cu1 Cu 0.0000 0.0000 0.5000
```

Top 10 peaks for 15° ≤ 2θ ≤ 90°, low angle first:
2θ 24.2, 3.683 Å, intensity 100, hkl 1 1 0
2θ 29.7, 3.012 Å, intensity 25, hkl 1 1 2
2θ 30.8, 2.899 Å, intensity 30, hkl 1 0 3
2θ 34.3, 2.618 Å, intensity 29, hkl 0 0 4
2θ 34.4, 2.605 Å, intensity 70, hkl 2 0 0
2θ 42.4, 2.134 Å, intensity 35, hkl 1 1 4
2θ 49.4, 1.846 Å, intensity 41, hkl 2 0 4
2θ 49.5, 1.842 Å, intensity 25, hkl 2 2 0
2θ 55.8, 1.647 Å, intensity 20, hkl 3 1 0
2θ 61.6, 1.506 Å, intensity 20, hkl 2 2 4

Simulated PXRD pattern
Compound: ErMgGa2Cu5
Radiation: Cu Kα (weighted mean of Kα1 and Kα2)
Structure: DFT lattice parameters and positions (GGA-PBE)
Peak positions follow from Bragg's law for the DFT cell and can differ from measured ones.

Atomic structure:
```
data_ErMgGa2Cu5
_symmetry_space_group_name_H-M 'P 4/m m m'
_symmetry_Int_Tables_number 123
_symmetry_space_group_name_Hall '-P 4 2'
_cell_length_a 4.4478
_cell_length_b 4.4478
_cell_length_c 7.5452
_cell_angle_alpha 90.00
_cell_angle_beta 90.00
_cell_angle_gamma 90.00
loop_
_atom_site_label
_atom_site_type_symbol
_atom_site_fract_x
_atom_site_fract_y
_atom_site_fract_z
Er1 Er 0.0000 0.0000 0.0000
Mg1 Mg 0.0000 0.0000 0.5000
Ga1 Ga 0.5000 0.5000 0.3386
Cu1 Cu 0.0000 0.5000 0.2176
Cu2 Cu 0.5000 0.5000 0.0000
```

Top 10 peaks for 15° ≤ 2θ ≤ 90°, low angle first:
2θ 23.2, 3.832 Å, intensity 36, hkl 1 0 1
2θ 31.1, 2.877 Å, intensity 28, hkl 1 0 2
2θ 37.2, 2.416 Å, intensity 100, hkl 1 1 2
2θ 40.6, 2.224 Å, intensity 91, hkl 2 0 0
2θ 42.4, 2.133 Å, intensity 12, hkl 2 0 1
2θ 46.2, 1.964 Å, intensity 70, hkl 1 1 3
2θ 52.0, 1.760 Å, intensity 13, hkl 2 1 2
2θ 58.7, 1.573 Å, intensity 29, hkl 2 2 0
2θ 71.6, 1.318 Å, intensity 27, hkl 3 1 2
2θ 77.8, 1.228 Å, intensity 28, hkl 3 1 3

Simulated PXRD pattern
Compound: Er2Ga3Cu4Pd
Radiation: Cu Kα (weighted mean of Kα1 and Kα2)
Structure: DFT lattice parameters and positions (GGA-PBE)
Peak positions follow from Bragg's law for the DFT cell and can differ from measured ones.

Atomic structure:
```
data_Er2Ga3Cu4Pd
_symmetry_space_group_name_H-M 'P -4 m 2'
_symmetry_Int_Tables_number 115
_symmetry_space_group_name_Hall 'P -4 -2'
_cell_length_a 3.9323
_cell_length_b 3.9323
_cell_length_c 11.0035
_cell_angle_alpha 90.00
_cell_angle_beta 90.00
_cell_angle_gamma 90.00
loop_
_atom_site_label
_atom_site_type_symbol
_atom_site_fract_x
_atom_site_fract_y
_atom_site_fract_z
Er1 Er 0.0000 0.5000 0.2459
Ga1 Ga 0.0000 0.0000 0.0000
Ga2 Ga 0.0000 0.5000 0.6339
Cu1 Cu 0.0000 0.0000 0.5000
Cu2 Cu 0.0000 0.5000 0.8507
Cu3 Cu 0.5000 0.5000 0.5000
Pd1 Pd 0.5000 0.5000 0.0000
```

Top 10 peaks for 15° ≤ 2θ ≤ 90°, low angle first:
2θ 32.2, 2.781 Å, intensity 12, hkl 1 1 0
2θ 33.4, 2.682 Å, intensity 52, hkl 1 0 3
2θ 36.2, 2.482 Å, intensity 100, hkl 1 1 2
2θ 46.2, 1.966 Å, intensity 43, hkl 2 0 0
2θ 47.3, 1.920 Å, intensity 33, hkl 1 0 5
2θ 58.2, 1.586 Å, intensity 21, hkl 2 1 3
2θ 67.4, 1.390 Å, intensity 14, hkl 2 2 0
2θ 68.3, 1.374 Å, intensity 26, hkl 0 0 8
2θ 78.9, 1.213 Å, intensity 20, hkl 3 1 2
2θ 86.3, 1.127 Å, intensity 16, hkl 2 0 8

Simulated PXRD pattern
Compound: SmEr2Ga2Cu2
Radiation: Cu Kα (weighted mean of Kα1 and Kα2)
Structure: DFT lattice parameters and positions (GGA-PBE)
Peak positions follow from Bragg's law for the DFT cell and can differ from measured ones.

Atomic structure:
```
data_SmEr2Ga2Cu2
_symmetry_space_group_name_H-M 'R -3 m'
_symmetry_Int_Tables_number 166
_symmetry_space_group_name_Hall '-R 3 2"'
_cell_length_a 4.3978
_cell_length_b 4.3978
_cell_length_c 27.2484
_cell_angle_alpha 90.00
_cell_angle_beta 90.00
_cell_angle_gamma 120.00
loop_
_atom_site_label
_atom_site_type_symbol
_atom_site_fract_x
_atom_site_fract_y
_atom_site_fract_z
Sm1 Sm 0.0000 0.0000 0.0000
Er1 Er 0.0000 0.0000 0.1252
Ga1 Ga 0.0000 0.0000 0.2598
Cu1 Cu 0.0000 0.0000 0.4037
```

Top 10 peaks for 15° ≤ 2θ ≤ 90°, low angle first:
2θ 23.6, 3.772 Å, intensity 48, hkl 1 0 1
2θ 32.9, 2.722 Å, intensity 81, hkl 1 0 7
2θ 35.4, 2.539 Å, intensity 100, hkl 0 1 8
2θ 41.0, 2.199 Å, intensity 98, hkl 1 1 0
2θ 53.6, 1.711 Å, intensity 20, hkl 0 2 7
2θ 55.3, 1.662 Å, intensity 28, hkl 2 0 8
2θ 66.8, 1.400 Å, intensity 31, hkl 1 1 15
2θ 69.6, 1.350 Å, intensity 18, hkl 2 1 7
2θ 71.1, 1.326 Å, intensity 26, hkl 1 2 8
2θ 74.8, 1.270 Å, intensity 22, hkl 3 0 0

Simulated PXRD pattern
Compound: Er2ZnGa3Cu12
Radiation: Cu Kα (weighted mean of Kα1 and Kα2)
Structure: DFT lattice parameters and positions (GGA-PBE)
Peak positions follow from Bragg's law for the DFT cell and can differ from measured ones.

Atomic structure:
```
data_Er2ZnGa3Cu12
_symmetry_space_group_name_H-M 'R -3 m'
_symmetry_Int_Tables_number 166
_symmetry_space_group_name_Hall '-R 3 2"'
_cell_length_a 5.3222
_cell_length_b 5.3222
_cell_length_c 34.9161
_cell_angle_alpha 90.00
_cell_angle_beta 90.00
_cell_angle_gamma 120.00
loop_
_atom_site_label
_atom_site_type_symbol
_atom_site_fract_x
_atom_site_fract_y
_atom_site_fract_z
Er1 Er 0.0000 0.0000 0.1421
Zn1 Zn 0.0000 0.0000 0.5000
Ga1 Ga 0.0000 0.5000 0.0000
Cu1 Cu 0.0042 0.5021 0.8885
Cu2 Cu 0.0193 0.5097 0.6095
```

Top 10 peaks for 15° ≤ 2θ ≤ 90°, low angle first:
2θ 32.2, 2.783 Å, intensity 55, hkl 1 0 10
2θ 34.3, 2.614 Å, intensity 37, hkl 0 1 11
2θ 34.6, 2.594 Å, intensity 61, hkl 1 1 3
2θ 37.2, 2.420 Å, intensity 31, hkl 1 1 6
2θ 40.5, 2.228 Å, intensity 63, hkl 0 2 4
2θ 41.1, 2.194 Å, intensity 43, hkl 0 1 14
2θ 44.5, 2.038 Å, intensity 100, hkl 2 0 8
2θ 47.3, 1.923 Å, intensity 27, hkl 0 2 10
2θ 70.8, 1.331 Å, intensity 38, hkl 2 2 0
2θ 89.3, 1.097 Å, intensity 27, hkl 0 2 28

Simulated PXRD pattern
Compound: ErCu3Ge2
Radiation: Cu Kα (weighted mean of Kα1 and Kα2)
Structure: DFT lattice parameters and positions (GGA-PBE)
Peak positions follow from Bragg's law for the DFT cell and can differ from measured ones.

Atomic structure:
```
data_ErCu3Ge2
_symmetry_space_group_name_H-M 'C 1 2/m 1'
_symmetry_Int_Tables_number 12
_symmetry_space_group_name_Hall '-C 2y'
_cell_length_a 14.9945
_cell_length_b 3.9967
_cell_length_c 7.2167
_cell_angle_alpha 90.00
_cell_angle_beta 116.05
_cell_angle_gamma 90.00
loop_
_atom_site_label
_atom_site_type_symbol
_atom_site_fract_x
_atom_site_fract_y
_atom_site_fract_z
Er1 Er 0.1465 0.0000 0.0668
Cu1 Cu 0.0418 0.0000 0.3835
Cu2 Cu 0.0968 0.5000 0.6772
Cu3 Cu 0.1895 0.5000 0.4595
Ge1 Ge 0.0212 0.5000 0.1828
Ge2 Ge 0.1992 0.0000 0.7081
```

Top 10 peaks for 15° ≤ 2θ ≤ 90°, low angle first:
2θ 28.6, 3.118 Å, intensity 19, hkl 4 0 -2
2θ 29.9, 2.985 Å, intensity 26, hkl 3 1 0
2θ 33.9, 2.643 Å, intensity 39, hkl 1 1 -2
2θ 36.6, 2.453 Å, intensity 100, hkl 3 1 1
2θ 38.4, 2.347 Å, intensity 18, hkl 4 0 -3
2θ 39.8, 2.265 Å, intensity 71, hkl 5 1 -2
2θ 45.4, 1.998 Å, intensity 47, hkl 0 2 0
2θ 45.5, 1.992 Å, intensity 23, hkl 1 1 -3
2θ 49.6, 1.838 Å, intensity 37, hkl 8 0 -1
2θ 69.5, 1.353 Å, intensity 19, hkl 8 2 -1

Simulated PXRD pattern
Compound: ErCu3Ge
Radiation: Cu Kα (weighted mean of Kα1 and Kα2)
Structure: DFT lattice parameters and positions (GGA-PBE)
Peak positions follow from Bragg's law for the DFT cell and can differ from measured ones.

Atomic structure:
```
data_ErCu3Ge
_symmetry_space_group_name_H-M 'P m m n'
_symmetry_Int_Tables_number 59
_cell_length_a 4.4540
_cell_length_b 5.9523
_cell_length_c 5.9920
_cell_angle_alpha 90.00
_cell_angle_beta 90.00
_cell_angle_gamma 90.00
loop_
_symmetry_equiv_pos_as_xyz
'x,y,z'
'-x,-y,-z'
'-x+1/2,-y+1/2,z'
'x+1/2,y+1/2,-z'
'x+1/2,-y,-z'
'-x+1/2,y,z'
'-x,y+1/2,-z'
'x,-y+1/2,z'
loop_
_atom_site_label
_atom_site_type_symbol
_atom_site_fract_x
_atom_site_fract_y
_atom_site_fract_z
Er1 Er 0.2500 0.2500 0.2356
Cu1 Cu 0.2500 0.0497 0.7430
Cu2 Cu 0.2500 0.7500 0.0498
Ge1 Ge 0.2500 0.7500 0.4376
```

Top 10 peaks for 15° ≤ 2θ ≤ 90°, low angle first:
2θ 24.9, 3.571 Å, intensity 15, hkl 1 0 1
2θ 29.8, 2.996 Å, intensity 18, hkl 0 0 2
2θ 30.0, 2.976 Å, intensity 19, hkl 0 2 0
2θ 39.3, 2.294 Å, intensity 93, hkl 1 1 2
2θ 39.4, 2.287 Å, intensity 100, hkl 1 2 1
2θ 40.5, 2.227 Å, intensity 43, hkl 2 0 0
2θ 48.0, 1.894 Å, intensity 16, hkl 0 1 3
2θ 66.4, 1.408 Å, intensity 15, hkl 0 3 3
2θ 72.9, 1.298 Å, intensity 30, hkl 3 2 1
2θ 80.8, 1.190 Å, intensity 17, hkl 2 3 3

Simulated PXRD pattern
Compound: ErCu4Ge2
Radiation: Cu Kα (weighted mean of Kα1 and Kα2)
Structure: DFT lattice parameters and positions (GGA-PBE)
Peak positions follow from Bragg's law for the DFT cell and can differ from measured ones.

Atomic structure:
```
data_ErCu4Ge2
_symmetry_space_group_name_H-M 'P 42/m n m'
_symmetry_Int_Tables_number 136
_symmetry_space_group_name_Hall '-P 4n 2n'
_cell_length_a 7.3576
_cell_length_b 7.3576
_cell_length_c 3.9642
_cell_angle_alpha 90.00
_cell_angle_beta 90.00
_cell_angle_gamma 90.00
loop_
_atom_site_label
_atom_site_type_symbol
_atom_site_fract_x
_atom_site_fract_y
_atom_site_fract_z
Er1 Er 0.0000 0.0000 0.0000
Cu1 Cu 0.0912 0.3469 0.5000
Ge1 Ge 0.2163 0.7837 0.5000
```

Top 10 peaks for 15° ≤ 2θ ≤ 90°, low angle first:
2θ 25.5, 3.490 Å, intensity 15, hkl 1 0 1
2θ 34.5, 2.601 Å, intensity 24, hkl 2 2 0
2θ 35.5, 2.532 Å, intensity 100, hkl 2 1 1
2θ 38.7, 2.327 Å, intensity 40, hkl 3 1 0
2θ 41.5, 2.175 Å, intensity 31, hkl 2 2 1
2θ 45.2, 2.007 Å, intensity 44, hkl 3 1 1
2θ 45.8, 1.982 Å, intensity 30, hkl 0 0 2
2θ 51.2, 1.784 Å, intensity 14, hkl 4 1 0
2θ 61.5, 1.509 Å, intensity 20, hkl 3 1 2
2θ 67.9, 1.380 Å, intensity 21, hkl 4 3 1

- What is the formula in the first record?
  Er3Ga5Cu6

Please write out number 12 again, unchanged.
Simulated PXRD pattern
Compound: ErCu4Ge2
Radiation: Cu Kα (weighted mean of Kα1 and Kα2)
Structure: DFT lattice parameters and positions (GGA-PBE)
Peak positions follow from Bragg's law for the DFT cell and can differ from measured ones.

Atomic structure:
```
data_ErCu4Ge2
_symmetry_space_group_name_H-M 'P 42/m n m'
_symmetry_Int_Tables_number 136
_symmetry_space_group_name_Hall '-P 4n 2n'
_cell_length_a 7.3576
_cell_length_b 7.3576
_cell_length_c 3.9642
_cell_angle_alpha 90.00
_cell_angle_beta 90.00
_cell_angle_gamma 90.00
loop_
_atom_site_label
_atom_site_type_symbol
_atom_site_fract_x
_atom_site_fract_y
_atom_site_fract_z
Er1 Er 0.0000 0.0000 0.0000
Cu1 Cu 0.0912 0.3469 0.5000
Ge1 Ge 0.2163 0.7837 0.5000
```

Top 10 peaks for 15° ≤ 2θ ≤ 90°, low angle first:
2θ 25.5, 3.490 Å, intensity 15, hkl 1 0 1
2θ 34.5, 2.601 Å, intensity 24, hkl 2 2 0
2θ 35.5, 2.532 Å, intensity 100, hkl 2 1 1
2θ 38.7, 2.327 Å, intensity 40, hkl 3 1 0
2θ 41.5, 2.175 Å, intensity 31, hkl 2 2 1
2θ 45.2, 2.007 Å, intensity 44, hkl 3 1 1
2θ 45.8, 1.982 Å, intensity 30, hkl 0 0 2
2θ 51.2, 1.784 Å, intensity 14, hkl 4 1 0
2θ 61.5, 1.509 Å, intensity 20, hkl 3 1 2
2θ 67.9, 1.380 Å, intensity 21, hkl 4 3 1